Entry 1:
For RbBaUS4, a structure optimized by DFT (GGA-PBE) gives the computed X-ray diffraction stick pattern in this record (CuKα).

Structure:
abc: 5.231 5.231 16.056
angles: 90.00 90.00 90.00
Space group I4mm (No. 107)
One atom of each set of equivalent atoms:
Rb (0.000, 0.000, 0.000)
Ba (0.000, 0.000, 0.717)
U (0.000, 0.000, 0.359)
S (0.000, 0.000, 0.200)
S (0.000, 0.000, 0.517)
S (0.000, 0.500, 0.350)

Main lines, most intense first (2θ = 5–70°):
index	2theta	d/Å	Rel. int.
1 0 3	23.8	3.741	100.0
1 1 0	24.1	3.699	77.8
0 0 2	11.0	8.028	58.8
2 0 0	34.3	2.616	53.2
2 1 3	42.2	2.144	46.6
1 0 5	32.7	2.737	33.2
2 0 6	48.7	1.870	26.9
1 0 1	17.8	4.974	26.8
1 1 6	41.7	2.168	24.5
2 1 5	48.1	1.891	22.7
1 0 11	66.5	1.407	21.4
0 0 6	33.5	2.676	19.8

Entry 2:
For Na2Mg4Pb3, a structure optimized by DFT (GGA-PBE) gives the computed X-ray diffraction stick pattern in this record (CuKα).

Structure:
abc: 5.069 5.172 11.262
angles: 85.50 77.01 60.78
Space group P-1 (No. 2)
One atom of each set of equivalent atoms:
Na (0.046, 0.174, 0.237)
Mg (0.210, 0.158, 0.920)
Mg (0.290, 0.517, 0.407)
Pb (0.350, 0.158, 0.638)
Pb (0.500, 0.500, 0.000)

Main lines, most intense first (2θ = 5–70°):
index	2theta	d/Å	Rel. int.
2 1 1	35.4	2.534	100.0
1 1 1	20.6	4.317	91.3
1 0 2	23.3	3.812	83.9
0 1 -1	21.0	4.227	73.0
0 0 3	24.3	3.655	59.8
0 1 2	26.0	3.422	55.5
1 2 0	34.8	2.578	53.6
1 2 3	41.1	2.198	34.2
1 0 5	42.0	2.150	33.7
1 -1 3	39.9	2.259	33.1
1 -1 0	35.1	2.559	29.3
2 0 -1	44.5	2.037	27.4

Entry 3:
For Li7Sn4Ge, a structure optimized by DFT (GGA-PBE) gives the computed X-ray diffraction stick pattern in this record (CuKα).

Structure:
abc: 13.335 4.897 9.956
angles: 90.00 127.44 90.00
Space group C2/m (No. 12)
One atom of each set of equivalent atoms:
Li (0.000, 0.000, 0.000)
Li (0.063, 0.500, 0.327)
Li (0.150, 0.000, 0.594)
Li (0.216, 0.500, 0.860)
Sn (0.069, 0.000, 0.795)
Sn (0.201, 0.000, 0.353)
Ge (0.000, 0.500, 0.000)

Main lines, most intense first (2θ = 5–70°):
index	2theta	d/Å	Rel. int.
1 1 -2	26.1	3.418	100.0
1 1 0	20.0	4.445	32.1
5 1 -1	41.2	2.192	28.1
0 2 0	36.7	2.449	27.5
2 0 1	25.3	3.516	26.3
3 1 1	38.4	2.347	25.6
3 1 -1	27.4	3.255	25.5
2 0 -1	13.3	6.647	24.6
2 0 -2	18.1	4.904	23.7
2 0 -4	37.7	2.387	23.7
5 1 -3	39.4	2.289	22.1
6 2 -3	56.0	1.643	20.8

Entry 4:
For K2SmCuF6, a structure optimized by DFT (GGA-PBE) gives the computed X-ray diffraction stick pattern in this record (CuKα).

Structure:
abc: 6.885 8.155 6.838
angles: 90.00 90.00 90.00
Space group Pmmn (No. 59, origin choice 2)
One atom of each set of equivalent atoms:
K (0.250, 0.010, 0.167)
Sm (0.250, 0.250, 0.677)
Cu (0.250, 0.750, 0.737)
F (0.001, 0.750, 0.111)
F (0.052, 0.250, 0.419)
F (0.250, 0.516, 0.762)

Main lines, most intense first (2θ = 5–70°):
index	2theta	d/Å	Rel. int.
1 2 1	28.6	3.122	100.0
1 0 1	18.3	4.852	76.9
2 0 0	25.9	3.443	45.0
1 1 0	16.9	5.255	43.2
4 0 0	53.2	1.722	35.4
2 0 2	37.1	2.426	32.9
1 0 2	29.2	3.062	31.1
0 2 0	21.8	4.078	29.7
3 2 1	47.4	1.920	29.5
0 0 2	26.1	3.419	27.9
0 4 0	44.4	2.039	27.0
2 1 2	38.7	2.325	26.5

Entry 5:
For Tm4ThTl, a structure optimized by DFT (GGA-PBE) gives the computed X-ray diffraction stick pattern in this record (CuKα).

Structure:
abc: 3.563 3.563 13.965
angles: 90.00 90.00 90.00
Space group P4/mmm (No. 123)
One atom of each set of equivalent atoms:
Tm (0.000, 0.000, 0.149)
Tm (0.500, 0.500, 0.327)
Th (0.000, 0.000, 0.500)
Tl (0.500, 0.500, 0.000)

Main lines, most intense first (2θ = 5–70°):
index	2theta	d/Å	Rel. int.
1 0 3	31.6	2.829	100.0
1 1 0	35.6	2.519	37.9
2 1 3	61.5	1.507	30.6
1 1 6	53.6	1.710	20.5
2 0 0	51.3	1.781	13.6
0 0 6	38.7	2.327	13.0
2 0 6	66.0	1.415	11.0
1 0 9	65.6	1.423	9.3
0 0 2	12.7	6.982	3.1
1 0 8	58.9	1.568	2.3
1 0 5	41.1	2.198	2.0
1 1 5	48.7	1.871	1.7

Entry 6:
For NaTmF3, a structure optimized by DFT (GGA-PBE) gives the computed X-ray diffraction stick pattern in this record (CuKα).

Structure:
abc: 5.9476 5.9476 3.2175
angles: 90.00 90.00 120.00
Space group P-6m2 (No. 187)
One atom of each set of equivalent atoms:
Na (0.0000, 0.0000, 0.0000)
Tm (0.6667, 0.3333, 0.0000)
F (0.3645, 0.1822, 0.5000)

Main lines, most intense first (2θ = 5–70°):
index	2theta	d/Å	Rel. int.
1 0 0	17.2	5.151	100.0
1 1 1	41.3	2.184	30.9
1 0 1	32.8	2.729	25.4
1 1 0	30.0	2.974	25.1
2 0 1	45.1	2.011	20.8
2 1 1	55.1	1.666	15.5
2 1 0	46.7	1.947	12.6
3 0 1	61.2	1.515	9.7
2 0 0	34.8	2.575	9.5
1 0 2	60.3	1.536	7.0
0 0 1	27.7	3.218	5.8
2 2 0	62.5	1.487	5.7

Entry 7:
For SmYLuZr, a structure optimized by DFT (GGA-PBE) gives the computed X-ray diffraction stick pattern in this record (CuKα).

Structure:
abc: 7.763 7.763 7.763
angles: 90.00 90.00 90.00
Space group F-43m (No. 216)
One atom of each set of equivalent atoms:
Sm (0.000, 0.000, 0.000)
Y (0.250, 0.250, 0.750)
Lu (0.250, 0.250, 0.250)
Zr (0.000, 0.000, 0.500)

Main lines, most intense first (2θ = 5–70°):
index	2theta	d/Å	Rel. int.
2 2 0	32.6	2.745	100.0
4 2 2	58.2	1.585	37.8
4 0 0	46.8	1.941	18.2
4 4 0	68.4	1.372	11.6
1 1 1	19.8	4.482	8.4
3 1 1	38.5	2.341	5.0
3 3 1	51.3	1.781	2.3
5 1 1	62.1	1.494	1.8

Entry 8:
For B7C5, a structure optimized by DFT (GGA-PBE) gives the computed X-ray diffraction stick pattern in this record (CuKα).

Structure:
abc: 2.5909 2.5909 14.2102
angles: 90.00 90.00 120.00
Space group P3m1 (No. 156)
One atom of each set of equivalent atoms:
B (0.0000, 0.0000, 0.0000)
B (0.0000, 0.0000, 0.1182)
B (0.0000, 0.0000, 0.6077)
B (0.3333, 0.6667, 0.1901)
B (0.3333, 0.6667, 0.7669)
B (0.6667, 0.3333, 0.4547)
B (0.6667, 0.3333, 0.9251)
C (0.0000, 0.0000, 0.4954)
C (0.3333, 0.6667, 0.3032)
C (0.3333, 0.6667, 0.6560)
C (0.6667, 0.3333, 0.3353)
C (0.6667, 0.3333, 0.8165)

Main lines, most intense first (2θ = 5–70°):
index	2theta	d/Å	Rel. int.
0 1 2	42.2	2.140	100.0
0 0 1	6.2	14.210	79.6
0 0 6	38.0	2.368	24.3
0 1 8	67.2	1.393	20.3
0 0 2	12.5	7.105	10.8
0 0 7	44.7	2.029	9.3
0 1 7	61.6	1.505	2.2
1 0 4	48.0	1.897	2.1
0 0 4	25.1	3.553	1.1
0 0 10	65.7	1.421	0.8
0 1 1	40.7	2.216	0.7

Entry 9:
For Pm8CuTe4As3, a structure optimized by DFT (GGA-PBE) gives the computed X-ray diffraction stick pattern in this record (CuKα).

Structure:
abc: 8.6313 8.6313 21.6370
angles: 90.00 90.00 120.00
Space group R-3m (No. 166, hexagonal axes)
One atom of each set of equivalent atoms:
Pm (0.0000, 0.0000, 0.2400)
Pm (0.0004, 0.5002, 0.2415)
Cu (0.0000, 0.0000, 0.5000)
Te (0.0000, 0.0000, 0.0000)
Te (0.0000, 0.5000, 0.0000)
As (0.0000, 0.5000, 0.5000)

Main lines, most intense first (2θ = 5–70°):
index	2theta	d/Å	Rel. int.
0 2 4	29.0	3.075	100.0
2 2 0	41.9	2.158	38.1
2 0 8	41.2	2.191	35.3
4 0 4	51.8	1.766	19.9
2 4 4	68.7	1.367	16.9
2 2 12	67.7	1.384	13.7
0 4 8	60.2	1.537	11.5
2 0 5	31.6	2.829	5.6
0 0 12	50.6	1.803	5.5
2 0 2	25.2	3.533	5.1
2 2 9	57.4	1.606	4.5
0 2 13	60.9	1.520	3.1

Entry 10:
For UN4, a structure optimized by DFT (GGA-PBE) gives the computed X-ray diffraction stick pattern in this record (CuKα).

Structure:
abc: 4.181 4.181 4.181
angles: 90.00 90.00 90.00
Space group Pm-3m (No. 221)
One atom of each set of equivalent atoms:
U (0.000, 0.000, 0.000)
N (0.000, 0.000, 0.500)
N (0.500, 0.500, 0.500)

Main lines, most intense first (2θ = 5–70°):
index	2theta	d/Å	Rel. int.
1 0 0	21.3	4.181	100.0
1 1 0	30.2	2.956	85.3
2 1 0	48.7	1.870	47.1
2 1 1	53.7	1.707	35.6
2 0 0	43.3	2.090	24.3
3 0 0	67.2	1.394	23.5
1 1 1	37.3	2.414	19.5
2 2 0	62.9	1.478	15.5

Entry 11:
For Cs2InI6O18, a structure optimized by DFT (GGA-PBE) gives the computed X-ray diffraction stick pattern in this record (CuKα).

Structure:
abc: 8.044 8.049 8.057
angles: 97.42 97.49 97.45
Space group P-1 (No. 2)
One atom of each set of equivalent atoms:
Cs (0.163, 0.163, 0.163)
In (0.500, 0.500, 0.500)
I (0.131, 0.698, 0.332)
I (0.302, 0.668, 0.869)
I (0.332, 0.131, 0.697)
O (0.100, 0.696, 0.103)
O (0.103, 0.099, 0.694)
O (0.109, 0.595, 0.716)
O (0.280, 0.540, 0.331)
O (0.285, 0.891, 0.403)
O (0.304, 0.896, 0.899)
O (0.331, 0.280, 0.539)
O (0.403, 0.284, 0.890)
O (0.460, 0.668, 0.720)

Main lines, most intense first (2θ = 5–70°):
index	2theta	d/Å	Rel. int.
1 2 0	26.7	3.336	100.0
1 -2 1	25.5	3.493	59.5
0 1 -2	23.7	3.761	54.4
2 1 -2	31.7	2.825	38.3
2 0 0	22.5	3.946	26.4
0 1 -4	45.7	1.985	22.5
1 3 2	47.9	1.899	22.1
-1 3 1	37.3	2.413	20.5
1 3 -4	54.7	1.678	16.1
1 -4 1	45.9	1.979	14.1
1 -3 3	46.5	1.954	12.8
0 2 -2	29.5	3.025	12.6